# 1
Simulated X-ray diffraction stick pattern of NaCdPO4 for Cu Kα X-rays, from a DFT-relaxed cell (PBE, OQMD).
Peak positions follow from Bragg's law for the DFT cell and can differ from measured ones.

Atomic structure:
```
data_NaCdPO4
_cell_length_a 10.795
_cell_length_b 5.043
_cell_length_c 6.508
_cell_angle_alpha 90.00
_cell_angle_beta 90.00
_cell_angle_gamma 90.00
_symmetry_space_group_name_H-M 'P n a 21'
_symmetry_Int_Tables_number 33
_symmetry_space_group_name_Hall 'P 2c -2n'
loop_
_atom_site_label
_atom_site_type_symbol
_atom_site_fract_x
_atom_site_fract_y
_atom_site_fract_z
Na1 Na 0.002 0.000 0.000
Cd1 Cd 0.215 0.480 0.245
P1 P 0.102 0.429 0.747
O1 O 0.032 0.683 0.249
O2 O 0.102 0.734 0.747
O3 O 0.170 0.306 0.557
O4 O 0.171 0.305 0.935
```

The 12 most intense peaks (10° ≤ 2θ ≤ 90°), by intensity:
2θ/deg	I_rel
23.8	100
33.6	66
30.5	39
27.4	37
48.7	37
16.4	33
33.8	28
46.3	23
32.1	21
52.5	18
36.0	17
52.8	15



# 2
Simulated X-ray diffraction stick pattern of Na2CdS2O8 for Cu Kα X-rays, from a DFT-relaxed cell (PBE, OQMD).
Peak positions follow from Bragg's law for the DFT cell and can differ from measured ones.

Atomic structure:
```
data_Na2CdS2O8
_cell_length_a 9.950
_cell_length_b 8.171
_cell_length_c 8.534
_cell_angle_alpha 90.00
_cell_angle_beta 114.07
_cell_angle_gamma 90.00
_symmetry_space_group_name_H-M 'C 1 2/c 1'
_symmetry_Int_Tables_number 15
_symmetry_space_group_name_Hall '-C 2yc'
loop_
_atom_site_label
_atom_site_type_symbol
_atom_site_fract_x
_atom_site_fract_y
_atom_site_fract_z
Na1 Na 0.136 0.055 0.434
Cd1 Cd 0.000 0.434 0.750
S1 S 0.190 0.287 0.190
O1 O 0.117 0.127 0.132
O2 O 0.137 0.414 0.054
O3 O 0.147 0.225 0.748
O4 O 0.158 0.343 0.339
```

The 12 most intense peaks (10° ≤ 2θ ≤ 90°), by intensity:
2θ/deg	I_rel
14.6	100
22.8	57
28.5	56
32.0	49
29.4	39
30.5	38
23.5	37
29.1	33
45.9	29
44.8	29
33.6	27
37.6	25



# 3
Simulated X-ray diffraction stick pattern of Na2CdTcO6 for Cu Kα X-rays, from a DFT-relaxed cell (PBE, OQMD).
Peak positions follow from Bragg's law for the DFT cell and can differ from measured ones.

Atomic structure:
```
data_Na2CdTcO6
_cell_length_a 5.6875
_cell_length_b 5.6875
_cell_length_c 9.5545
_cell_angle_alpha 90.00
_cell_angle_beta 90.00
_cell_angle_gamma 120.00
_symmetry_space_group_name_H-M 'P -3 1 c'
_symmetry_Int_Tables_number 163
_symmetry_space_group_name_Hall '-P 3 2c'
loop_
_atom_site_label
_atom_site_type_symbol
_atom_site_fract_x
_atom_site_fract_y
_atom_site_fract_z
Na1 Na 0.3333 0.6667 0.0650
Cd1 Cd 0.0000 0.0000 0.2500
Tc1 Tc 0.3333 0.6667 0.7500
O1 O 0.0841 0.3794 0.8654
```

The 12 most intense peaks (10° ≤ 2θ ≤ 90°), by intensity:
2θ/deg	I_rel
20.3	100
31.5	98
36.8	92
18.6	92
49.9	74
33.5	42
26.0	42
56.0	33
67.4	29
46.6	29
57.3	25
59.5	21



# 4
Simulated X-ray diffraction stick pattern of NaCd4P3 for Cu Kα X-rays, from a DFT-relaxed cell (PBE, OQMD).
Peak positions follow from Bragg's law for the DFT cell and can differ from measured ones.

Atomic structure:
```
data_NaCd4P3
_cell_length_a 4.3500
_cell_length_b 4.3500
_cell_length_c 33.6536
_cell_angle_alpha 90.00
_cell_angle_beta 90.00
_cell_angle_gamma 120.00
_symmetry_space_group_name_H-M 'R -3 m'
_symmetry_Int_Tables_number 166
_symmetry_space_group_name_Hall '-R 3 2"'
loop_
_atom_site_label
_atom_site_type_symbol
_atom_site_fract_x
_atom_site_fract_y
_atom_site_fract_z
Na1 Na 0.0000 0.0000 0.0000
Cd1 Cd 0.0000 0.0000 0.2007
Cd2 Cd 0.0000 0.0000 0.4027
P1 P 0.0000 0.0000 0.2783
P2 P 0.0000 0.0000 0.5000
```

The 12 most intense peaks (10° ≤ 2θ ≤ 90°), by intensity:
2θ/deg	I_rel
27.1	100
35.8	81
41.5	64
59.2	29
23.8	23
55.9	21
72.0	19
50.3	18
75.8	16
40.2	16
67.2	14
89.4	14



# 5
Simulated X-ray diffraction stick pattern of NaCd4P3 for Cu Kα X-rays, from a DFT-relaxed cell (PBE, OQMD).
Peak positions follow from Bragg's law for the DFT cell and can differ from measured ones.

Atomic structure:
```
data_NaCd4P3
_cell_length_a 7.555
_cell_length_b 13.089
_cell_length_c 11.296
_cell_angle_alpha 90.00
_cell_angle_beta 103.01
_cell_angle_gamma 90.00
_symmetry_space_group_name_H-M 'C 1 m 1'
_symmetry_Int_Tables_number 8
_symmetry_space_group_name_Hall 'C -2y'
loop_
_atom_site_label
_atom_site_type_symbol
_atom_site_fract_x
_atom_site_fract_y
_atom_site_fract_z
Na1 Na 0.000 0.000 0.000
Na2 Na 0.465 0.167 0.000
Cd1 Cd 0.071 0.167 0.780
Cd2 Cd 0.089 0.500 0.826
Cd3 Cd 0.164 0.348 0.606
Cd4 Cd 0.209 0.000 0.603
Cd5 Cd 0.259 0.185 0.401
Cd6 Cd 0.311 0.500 0.399
Cd7 Cd 0.372 0.334 0.187
Cd8 Cd 0.388 0.000 0.232
P1 P 0.193 0.500 0.163
P2 P 0.201 0.165 0.167
P3 P 0.256 0.000 0.837
P4 P 0.260 0.332 0.841
P5 P 0.474 0.000 0.485
P6 P 0.481 0.334 0.513
```

The 12 most intense peaks (10° ≤ 2θ ≤ 90°), by intensity:
2θ/deg	I_rel
27.2	100
36.1	77
41.4	63
23.7	18
50.2	16
59.6	15
56.1	14
41.0	13
24.2	11
67.1	11
72.0	10
75.5	8



# 6
Simulated X-ray diffraction stick pattern of Na2CdPbSe2S2 for Cu Kα X-rays, from a DFT-relaxed cell (PBE, OQMD).
Peak positions follow from Bragg's law for the DFT cell and can differ from measured ones.

Atomic structure:
```
data_Na2CdPbSe2S2
_cell_length_a 9.420
_cell_length_b 10.610
_cell_length_c 6.655
_cell_angle_alpha 90.00
_cell_angle_beta 134.24
_cell_angle_gamma 90.00
_symmetry_space_group_name_H-M 'C 1 2 1'
_symmetry_Int_Tables_number 5
_symmetry_space_group_name_Hall 'C 2y'
loop_
_atom_site_label
_atom_site_type_symbol
_atom_site_fract_x
_atom_site_fract_y
_atom_site_fract_z
Na1 Na 0.000 0.000 0.000
Na2 Na 0.000 0.217 0.500
Cd1 Cd 0.000 0.727 0.500
Pb1 Pb 0.000 0.486 0.000
Se1 Se 0.246 0.356 0.475
S1 S 0.213 0.615 0.973
```

The 12 most intense peaks (10° ≤ 2θ ≤ 90°), by intensity:
2θ/deg	I_rel
25.3	100
25.1	99
15.6	77
15.7	76
43.4	42
43.6	41
37.7	32
38.2	30
28.5	26
55.5	25
31.0	21
45.7	19



# 7
Simulated X-ray diffraction stick pattern of Na2CdPbSe4 for Cu Kα X-rays, from a DFT-relaxed cell (PBE, OQMD).
Peak positions follow from Bragg's law for the DFT cell and can differ from measured ones.

Atomic structure:
```
data_Na2CdPbSe4
_cell_length_a 9.847
_cell_length_b 10.325
_cell_length_c 6.962
_cell_angle_alpha 90.00
_cell_angle_beta 134.94
_cell_angle_gamma 90.00
_symmetry_space_group_name_H-M 'C 1 2 1'
_symmetry_Int_Tables_number 5
_symmetry_space_group_name_Hall 'C 2y'
loop_
_atom_site_label
_atom_site_type_symbol
_atom_site_fract_x
_atom_site_fract_y
_atom_site_fract_z
Na1 Na 0.000 0.000 0.000
Na2 Na 0.000 0.249 0.500
Cd1 Cd 0.000 0.750 0.500
Pb1 Pb 0.000 0.500 0.000
Se1 Se 0.221 0.631 0.977
Se2 Se 0.244 0.369 0.465
```

The 12 most intense peaks (10° ≤ 2θ ≤ 90°), by intensity:
2θ/deg	I_rel
25.0	100
15.3	68
43.6	43
44.7	39
36.5	35
70.6	19
30.0	18
39.0	15
47.9	13
52.6	11
69.3	10
56.7	10